Sm2Fe15Co2C3: computed X-ray powder pattern (Cu Kα (λ = 1.5418 Å)), based on a structure optimized by DFT (GGA-PBE).
Intensities are scaled so that the largest is 100.

```
Sm2Fe15Co2C3
1.0
4.848 -4.337 0.000
4.848 4.337 0.000
-0.958 0.000 6.460
Sm Fe Co C
2 15 2 3
Cartesian
0.000 0.000 0.000
6.423 0.000 1.989
-0.435 0.000 3.301
2.741 2.463 4.224
1.649 1.232 2.399
4.055 2.109 2.016
1.738 0.000 4.841
3.221 0.000 0.998
3.843 1.228 6.057
5.166 2.177 4.235
1.649 -1.232 2.399
3.765 0.000 3.600
2.741 -2.463 4.224
3.843 -1.228 6.057
5.909 0.000 5.133
4.055 -2.109 2.016
5.166 -2.177 4.235
1.412 2.070 6.439
1.412 -2.070 6.439
5.650 2.176 0.992
7.591 0.000 4.228
5.650 -2.176 0.992
```

Peak list (12 most intense, 10 to 80 degrees two-theta, in order of rising 2θ)
d 3.002, 29.76°, I 48; d 2.878, 31.07°, I 16; d 2.506, 35.83°, I 32; d 2.399, 37.48°, I 42; d 2.175, 41.53°, I 63; d 2.168, 41.65°, I 31; d 2.153, 41.96°, I 21; d 2.146, 42.11°, I 100; d 2.098, 43.12°, I 17; d 2.076, 43.59°, I 51; d 1.527, 60.65°, I 17; d 1.508, 61.49°, I 23



TbFeCoC2: computed X-ray powder pattern (Cu Kα (λ = 1.5418 Å)), based on a structure optimized by DFT (GGA-PBE).
Intensities are scaled so that the largest is 100.

```
TbFeCoC2
1.0
-1.696 1.696 4.922
1.696 -1.696 4.922
1.696 1.696 -4.922
Tb Fe Co C
1 1 1 2
Cartesian
0.000 0.000 0.000
1.696 0.000 2.461
0.000 1.696 2.461
0.000 0.000 3.411
0.000 0.000 6.434
```

Peak list (12 most intense, 10 to 80 degrees two-theta, in order of rising 2θ)
d 3.207, 27.82°, I 85; d 2.461, 36.51°, I 35; d 2.359, 38.16°, I 56; d 2.156, 41.90°, I 100; d 1.703, 53.84°, I 16; d 1.696, 54.07°, I 27; d 1.499, 61.89°, I 19; d 1.397, 67.01°, I 23; d 1.377, 68.09°, I 19; d 1.354, 69.40°, I 25; d 1.299, 72.80°, I 6; d 1.202, 79.81°, I 10



Mn2Ga2Co4C: computed X-ray powder pattern (Cu Kα (λ = 1.5418 Å)), based on a structure optimized by DFT (GGA-PBE).
Intensities are scaled so that the largest is 100.

```
Mn2Ga2Co4C
1.0
-2.693 2.693 3.494
2.693 -2.693 3.494
2.693 2.693 -3.494
Mn Ga Co C
2 2 4 1
Cartesian
0.000 0.000 1.556
0.000 0.000 5.432
2.693 0.000 1.747
0.000 2.693 1.747
1.349 1.349 0.000
1.344 -1.344 3.494
-1.344 1.344 3.494
1.344 1.344 3.494
0.000 0.000 3.494
```

Peak list (11 most intense, 10 to 80 degrees two-theta, in order of rising 2θ)
d 2.575, 34.85°, I 2; d 2.138, 42.27°, I 2; d 2.133, 42.38°, I 100; d 1.904, 47.76°, I 38; d 1.747, 52.37°, I 13; d 1.674, 54.83°, I 1; d 1.531, 60.47°, I 1; d 1.347, 69.85°, I 11; d 1.287, 73.58°, I 17; d 1.257, 75.63°, I 1; d 1.209, 79.25°, I 1



Nd2Ga2Co2C: computed X-ray powder pattern (Cu Kα (λ = 1.5418 Å)), based on a structure optimized by DFT (GGA-PBE).
Intensities are scaled so that the largest is 100.

```
Nd2Ga2Co2C
1.0
5.518 -2.048 0.000
5.518 2.048 0.000
-4.469 0.000 5.522
Nd Ga Co C
2 2 2 1
Cartesian
-0.700 0.000 1.604
7.266 0.000 3.918
2.419 0.000 1.503
4.147 0.000 4.020
-0.657 0.000 5.036
7.223 0.000 0.486
5.518 0.000 0.000
```

Peak list (12 most intense, 10 to 80 degrees two-theta, in order of rising 2θ)
d 3.696, 24.08°, I 35; d 2.761, 32.43°, I 43; d 2.747, 32.60°, I 58; d 2.721, 32.91°, I 62; d 2.710, 33.05°, I 27; d 2.635, 34.02°, I 44; d 2.571, 34.89°, I 100; d 2.550, 35.19°, I 59; d 2.344, 38.40°, I 82; d 2.271, 39.68°, I 42; d 2.048, 44.23°, I 56; d 1.470, 63.27°, I 35



Nd2GaCoC: computed X-ray powder pattern (Cu Kα (λ = 1.5418 Å)), based on a structure optimized by DFT (GGA-PBE).
Intensities are scaled so that the largest is 100.

```
Nd2GaCoC
1.0
6.360 0.000 0.000
0.000 4.033 0.000
-2.978 0.000 8.139
Nd Ga Co C
4 2 2 2
Cartesian
0.257 1.008 3.119
-1.455 1.008 7.860
4.837 3.025 0.278
3.125 3.025 5.019
-0.121 3.025 5.702
3.503 1.008 2.437
2.356 3.025 2.096
1.026 1.008 6.043
0.738 3.025 1.402
2.644 1.008 6.736
```

Peak list (12 most intense, 10 to 80 degrees two-theta, in order of rising 2θ)
d 3.343, 26.67°, I 49; d 2.986, 29.92°, I 34; d 2.932, 30.49°, I 55; d 2.866, 31.21°, I 100; d 2.713, 33.02°, I 23; d 2.497, 35.97°, I 13; d 2.476, 36.29°, I 14; d 2.372, 37.93°, I 41; d 2.338, 38.51°, I 17; d 2.167, 41.69°, I 16; d 2.017, 44.95°, I 28; d 1.662, 55.29°, I 21



Tm2Ga3Co5C2: computed X-ray powder pattern (Cu Kα (λ = 1.5418 Å)), based on a structure optimized by DFT (GGA-PBE).
Intensities are scaled so that the largest is 100.

```
Tm2Ga3Co5C2
1.0
-1.921 1.921 10.880
1.921 -1.921 10.880
1.921 1.921 -10.880
Tm Ga Co C
2 3 5 2
Cartesian
0.000 0.000 4.321
0.000 0.000 17.439
0.000 0.000 7.469
0.000 0.000 10.880
0.000 0.000 14.291
0.000 0.000 0.000
1.921 0.000 1.798
1.921 0.000 9.082
0.000 1.921 1.798
0.000 1.921 9.082
0.000 0.000 1.887
0.000 0.000 19.873
```

Peak list (12 most intense, 10 to 80 degrees two-theta, in order of rising 2θ)
d 3.395, 26.25°, I 16; d 2.880, 31.05°, I 37; d 2.718, 32.96°, I 42; d 2.636, 34.01°, I 37; d 2.431, 36.98°, I 17; d 2.417, 37.20°, I 52; d 2.175, 41.53°, I 100; d 1.921, 47.31°, I 61; d 1.598, 57.68°, I 14; d 1.535, 60.31°, I 14; d 1.504, 61.68°, I 23; d 1.359, 69.15°, I 19